Entry 1:
This entry pairs a crystal structure of Tl2Mo3Ir2 with its theoretical powder diffractogram. Radiation: Cu Kα, 1.54184 Å. Structure: a GGA-PBE-relaxed structure.

Cell: 7.5461 7.5461 7.5461 Å, 34.54 34.54 34.54°
Fractional positions:
Tl 0.0000 0.0000 0.0000
Tl 0.4309 0.4309 0.4309
Mo 0.2789 0.2789 0.2789
Mo 0.5712 0.5712 0.5712
Mo 0.8571 0.8571 0.8571
Ir 0.1607 0.1607 0.1607
Ir 0.7028 0.7028 0.7028

Top 8 peaks for 10° ≤ 2θ ≤ 90°, by angle:
2θ = 28.48°, rel. 22; 2θ = 37.60°, rel. 100; 2θ = 40.26°, rel. 97; 2θ = 56.26°, rel. 31; 2θ = 66.06°, rel. 16; 2θ = 71.42°, rel. 31; 2θ = 73.17°, rel. 17; 2θ = 86.98°, rel. 11


Entry 2:
This entry pairs a crystal structure of PrNdIn4Ir2 with its theoretical powder diffractogram. Radiation: Cu Kα, 1.54184 Å. Structure: a GGA-PBE-relaxed structure.

Cell: 8.0347 4.4342 10.4082 Å, 90.00 90.00 90.00°
Fractional positions:
Pr 0.0000 0.0000 0.0000
Pr 0.0000 0.5000 0.5000
Nd 0.5000 0.0000 0.8606
Nd 0.5000 0.5000 0.3606
In 0.1995 0.0000 0.2856
In 0.1995 0.5000 0.7856
In 0.3019 0.0000 0.5754
In 0.3019 0.5000 0.0754
In 0.6981 0.0000 0.5754
In 0.6981 0.5000 0.0754
In 0.8005 0.0000 0.2856
In 0.8005 0.5000 0.7856
Ir 0.0000 0.0000 0.7126
Ir 0.0000 0.5000 0.2126
Ir 0.5000 0.0000 0.1483
Ir 0.5000 0.5000 0.6483

Top 8 peaks for 10° ≤ 2θ ≤ 90°, by angle:
2θ = 17.04°, rel. 26; 2θ = 31.25°, rel. 100; 2θ = 34.68°, rel. 99; 2θ = 36.29°, rel. 41; 2θ = 39.90°, rel. 38; 2θ = 40.28°, rel. 48; 2θ = 40.70°, rel. 49; 2θ = 55.65°, rel. 24


Entry 3:
This entry pairs a crystal structure of KTa4BrO5 with its theoretical powder diffractogram. Radiation: Cu Kα, 1.54184 Å. Structure: a GGA-PBE-relaxed structure.

Cell: 4.1853 4.1853 9.3921 Å, 90.00 90.00 90.00°
Fractional positions:
K 0.0000 0.0000 0.0000
Ta 0.0000 0.5000 0.5000
Ta 0.5000 0.0000 0.5000
Ta 0.5000 0.5000 0.2898
Ta 0.5000 0.5000 0.7102
Br 0.5000 0.5000 0.0000
O 0.0000 0.0000 0.5000
O 0.0000 0.5000 0.2760
O 0.0000 0.5000 0.7240
O 0.5000 0.0000 0.2760
O 0.5000 0.0000 0.7240

Top 8 peaks for 10° ≤ 2θ ≤ 90°, by angle:
2θ = 21.23°, rel. 87; 2θ = 28.57°, rel. 49; 2θ = 31.70°, rel. 67; 2θ = 35.85°, rel. 100; 2θ = 38.33°, rel. 37; 2θ = 42.01°, rel. 95; 2θ = 43.23°, rel. 80; 2θ = 59.14°, rel. 40


Entry 4:
This entry pairs a crystal structure of HfZrAl2 with its theoretical powder diffractogram. Radiation: Cu Kα, 1.54184 Å. Structure: a GGA-PBE-relaxed structure.

Cell: 3.9184 3.9184 20.7154 Å, 90.00 90.00 90.00°
Fractional positions:
Hf 0.0000 0.0000 0.0000
Hf 0.0000 0.5000 0.2500
Hf 0.5000 0.0000 0.7500
Hf 0.5000 0.5000 0.5000
Zr 0.0000 0.0000 0.6054
Zr 0.0000 0.5000 0.8554
Zr 0.5000 0.0000 0.3554
Zr 0.5000 0.5000 0.1054
Al 0.0000 0.0000 0.1379
Al 0.0000 0.0000 0.4673
Al 0.0000 0.5000 0.3879
Al 0.0000 0.5000 0.7173
Al 0.5000 0.0000 0.2173
Al 0.5000 0.0000 0.8879
Al 0.5000 0.5000 0.6379
Al 0.5000 0.5000 0.9673

Top 8 peaks for 10° ≤ 2θ ≤ 90°, by angle:
2θ = 26.15°, rel. 49; 2θ = 31.42°, rel. 59; 2θ = 33.48°, rel. 100; 2θ = 34.64°, rel. 26; 2θ = 38.11°, rel. 33; 2θ = 41.80°, rel. 29; 2θ = 46.34°, rel. 35; 2θ = 59.13°, rel. 22


Entry 5:
This entry pairs a crystal structure of Cs4AsPAu2 with its theoretical powder diffractogram. Radiation: Cu Kα, 1.54184 Å. Structure: a GGA-PBE-relaxed structure.

Cell: 6.9835 11.0665 7.7762 Å, 90.00 90.00 90.00°
Fractional positions:
Cs 0.0000 0.1713 0.0000
Cs 0.0000 0.3287 0.5000
Cs 0.0000 0.6713 0.5000
Cs 0.0000 0.8287 0.0000
Cs 0.5000 0.1718 0.7018
Cs 0.5000 0.3282 0.2018
Cs 0.5000 0.6718 0.2018
Cs 0.5000 0.8282 0.7018
As 0.0000 0.0000 0.5794
As 0.0000 0.5000 0.0794
P 0.5000 0.0000 0.1290
P 0.5000 0.5000 0.6290
Au 0.2551 0.0000 0.3463
Au 0.2551 0.5000 0.8463
Au 0.7449 0.0000 0.3463
Au 0.7449 0.5000 0.8463

Top 8 peaks for 10° ≤ 2θ ≤ 90°, by angle:
2θ = 13.92°, rel. 59; 2θ = 26.23°, rel. 58; 2θ = 26.75°, rel. 100; 2θ = 29.17°, rel. 86; 2θ = 29.70°, rel. 82; 2θ = 30.27°, rel. 46; 2θ = 34.52°, rel. 43; 2θ = 50.34°, rel. 59


Entry 6:
This entry pairs a crystal structure of Ho2Mg2Te with its theoretical powder diffractogram. Radiation: Cu Kα, 1.54184 Å. Structure: a GGA-PBE-relaxed structure.

Cell: 4.3642 4.3642 7.9572 Å, 90.00 90.00 90.00°
Fractional positions:
Ho 0.0000 0.5000 0.0000
Ho 0.5000 0.0000 0.0000
Mg 0.0000 0.0000 0.3177
Mg 0.0000 0.0000 0.6823
Te 0.5000 0.5000 0.5000

Top 8 peaks for 10° ≤ 2θ ≤ 90°, by angle:
2θ = 11.12°, rel. 38; 2θ = 22.35°, rel. 44; 2θ = 31.08°, rel. 100; 2θ = 36.86°, rel. 16; 2θ = 41.38°, rel. 26; 2θ = 45.07°, rel. 26; 2θ = 47.52°, rel. 24; 2θ = 69.07°, rel. 20


Entry 7:
This entry pairs a crystal structure of DyY2In3Ir2 with its theoretical powder diffractogram. Radiation: Cu Kα, 1.54184 Å. Structure: a GGA-PBE-relaxed structure.

Cell: 3.6894 13.1631 7.6128 Å, 90.00 90.00 90.00°
Fractional positions:
Dy 0.0000 0.0000 0.0000
Dy 0.0000 0.5000 0.5000
Y 0.0000 0.2103 0.3679
Y 0.0000 0.2897 0.8679
Y 0.0000 0.7103 0.8679
Y 0.0000 0.7897 0.3679
In 0.5000 0.0000 0.3430
In 0.5000 0.1178 0.6958
In 0.5000 0.3822 0.1958
In 0.5000 0.5000 0.8430
In 0.5000 0.6178 0.1958
In 0.5000 0.8822 0.6958
Ir 0.5000 0.1651 0.0777
Ir 0.5000 0.3349 0.5777
Ir 0.5000 0.6651 0.5777
Ir 0.5000 0.8349 0.0777

Top 8 peaks for 10° ≤ 2θ ≤ 90°, by angle:
2θ = 13.44°, rel. 30; 2θ = 33.85°, rel. 100; 2θ = 36.07°, rel. 73; 2θ = 36.57°, rel. 68; 2θ = 41.11°, rel. 23; 2θ = 43.87°, rel. 25; 2θ = 62.68°, rel. 29; 2θ = 66.91°, rel. 19


Entry 8:
This entry pairs a crystal structure of Ho2Tm2C7 with its theoretical powder diffractogram. Radiation: Cu Kα, 1.54184 Å. Structure: a GGA-PBE-relaxed structure.

Cell: 3.5446 3.5988 11.3493 Å, 83.99 83.67 89.56°
Fractional positions:
Ho 0.0170 0.2547 0.3579
Ho 0.9830 0.7453 0.6421
Tm 0.4062 0.1732 0.8640
Tm 0.5938 0.8268 0.1360
C 0.0000 0.5000 0.0000
C 0.1326 0.3079 0.0957
C 0.4687 0.2384 0.6654
C 0.4688 0.6491 0.4581
C 0.5312 0.3509 0.5419
C 0.5313 0.7616 0.3346
C 0.8674 0.6921 0.9043

Top 8 peaks for 10° ≤ 2θ ≤ 90°, by angle:
2θ = 27.36°, rel. 70; 2θ = 28.14°, rel. 92; 2θ = 31.01°, rel. 100; 2θ = 31.91°, rel. 97; 2θ = 32.96°, rel. 80; 2θ = 35.51°, rel. 68; 2θ = 36.56°, rel. 53; 2θ = 36.65°, rel. 51


Entry 9:
This entry pairs a crystal structure of SmDyZr2Sb2 with its theoretical powder diffractogram. Radiation: Cu Kα, 1.54184 Å. Structure: a GGA-PBE-relaxed structure.

Cell: 4.2954 4.2954 16.7796 Å, 90.00 90.00 90.00°
Fractional positions:
Sm 0.0000 0.0000 0.0000
Sm 0.5000 0.5000 0.5000
Dy 0.0000 0.0000 0.3542
Dy 0.5000 0.5000 0.8542
Zr 0.0000 0.5000 0.1786
Zr 0.0000 0.5000 0.6786
Zr 0.5000 0.0000 0.1786
Zr 0.5000 0.0000 0.6786
Sb 0.0000 0.0000 0.5468
Sb 0.0000 0.0000 0.8098
Sb 0.5000 0.5000 0.0468
Sb 0.5000 0.5000 0.3098

Top 8 peaks for 10° ≤ 2θ ≤ 90°, by angle:
2θ = 29.41°, rel. 46; 2θ = 31.32°, rel. 92; 2θ = 32.00°, rel. 39; 2θ = 33.90°, rel. 64; 2θ = 36.52°, rel. 100; 2θ = 42.07°, rel. 72; 2θ = 53.82°, rel. 36; 2θ = 55.09°, rel. 32


Entry 10:
This entry pairs a crystal structure of TbGdSnC with its theoretical powder diffractogram. Radiation: Cu Kα, 1.54184 Å. Structure: a GGA-PBE-relaxed structure.

Cell: 3.6502 3.6502 16.0614 Å, 90.00 90.00 120.00°
Fractional positions:
Tb 0.0000 0.0000 0.1652
Tb 0.0000 0.0000 0.8348
Gd 0.3333 0.6667 0.3348
Gd 0.3333 0.6667 0.6652
Sn 0.0000 0.0000 0.5000
Sn 0.3333 0.6667 0.0000
C 0.6667 0.3333 0.2493
C 0.6667 0.3333 0.7507

Top 8 peaks for 10° ≤ 2θ ≤ 90°, by angle:
2θ = 28.23°, rel. 22; 2θ = 32.90°, rel. 100; 2θ = 33.48°, rel. 20; 2θ = 44.34°, rel. 16; 2θ = 49.97°, rel. 22; 2θ = 59.48°, rel. 19; 2θ = 61.14°, rel. 17; 2θ = 61.49°, rel. 22


Entry 11:
This entry pairs a crystal structure of Sc2CdInAg2Au2 with its theoretical powder diffractogram. Radiation: Cu Kα, 1.54184 Å. Structure: a GGA-PBE-relaxed structure.

Cell: 4.7888 4.7888 6.7769 Å, 90.00 90.00 90.00°
Fractional positions:
Sc 0.0000 0.0000 0.0000
Sc 0.5000 0.5000 0.5000
Cd 0.0000 0.0000 0.5000
In 0.5000 0.5000 0.0000
Ag 0.0000 0.5000 0.2503
Ag 0.5000 0.0000 0.7497
Au 0.0000 0.5000 0.7499
Au 0.5000 0.0000 0.2501

Top 8 peaks for 10° ≤ 2θ ≤ 90°, by angle:
2θ = 22.74°, rel. 13; 2θ = 26.31°, rel. 12; 2θ = 37.56°, rel. 100; 2θ = 44.35°, rel. 7; 2θ = 54.16°, rel. 17; 2θ = 61.19°, rel. 5; 2θ = 67.77°, rel. 34; 2θ = 80.15°, rel. 11


Entry 12:
This entry pairs a crystal structure of Ba4Sm2Cd3S10 with its theoretical powder diffractogram. Radiation: Cu Kα, 1.54184 Å. Structure: a GGA-PBE-relaxed structure.

Cell: 9.3246 9.3246 26.9149 Å, 90.00 90.00 153.90°
Fractional positions:
Ba 0.0760 0.9240 0.5000
Ba 0.0968 0.9032 0.6818
Ba 0.3377 0.6623 0.4533
Ba 0.3387 0.6613 0.7345
Ba 0.6613 0.3387 0.2345
Ba 0.6623 0.3377 0.9533
Ba 0.9032 0.0968 0.1818
Ba 0.9240 0.0760 0.0000
Sm 0.0035 0.9965 0.8431
Sm 0.4201 0.5799 0.5970
Sm 0.5799 0.4201 0.0970
Sm 0.9965 0.0035 0.3431
Cd 0.2809 0.7191 0.0747
Cd 0.3384 0.6616 0.3049
Cd 0.3442 0.6558 0.8875
Cd 0.6558 0.3442 0.3875
Cd 0.6616 0.3384 0.8049
Cd 0.7191 0.2809 0.5747
S 0.0762 0.9238 0.1654
S 0.0910 0.9090 0.0266
S 0.1529 0.8471 0.3330
S 0.1572 0.8428 0.8617
S 0.2661 0.7339 0.6118
S 0.2875 0.7125 0.2207
S 0.2918 0.7082 0.9750
S 0.4256 0.5744 0.0902
S 0.4825 0.5175 0.2754
S 0.4880 0.5120 0.9151
S 0.5120 0.4880 0.4151
S 0.5175 0.4825 0.7754
S 0.5744 0.4256 0.5902
S 0.7082 0.2918 0.4750
S 0.7125 0.2875 0.7207
S 0.7339 0.2661 0.1118
S 0.8428 0.1572 0.3617
S 0.8471 0.1529 0.8330
S 0.9090 0.0910 0.5266
S 0.9238 0.0762 0.6654

Top 8 peaks for 10° ≤ 2θ ≤ 90°, by angle:
2θ = 25.15°, rel. 38; 2θ = 25.66°, rel. 27; 2θ = 25.77°, rel. 43; 2θ = 25.98°, rel. 32; 2θ = 27.33°, rel. 28; 2θ = 29.50°, rel. 100; 2θ = 30.26°, rel. 62; 2θ = 42.95°, rel. 35